Starting from the PBE geometry in OQMD, the XRD peak list of KCo3Se5 was computed for a wavelength of 1.5418 Å.
Lines closer than 0.1° are merged.

Largest 12 diffraction maxima, by angle, 10 to 90 degrees two-theta:
12.5 deg, I = 100; 18.2 deg, I = 20; 31.2 deg, I = 49; 31.9 deg, I = 71; 39.2 deg, I = 26; 41.0 deg, I = 33; 45.2 deg, I = 79; 51.6 deg, I = 15; 56.4 deg, I = 17; 61.9 deg, I = 18; 66.6 deg, I = 21; 88.9 deg, I = 19

Atomic structure:
abc: 5.6167 5.6167 7.0910
angles: 90.00 90.00 120.00
Fractional coordinates of all 9 atoms:
K  0.0000  0.0000  0.0000
Co  0.0000  0.5000  0.5000
Co  0.5000  0.0000  0.5000
Co  0.5000  0.5000  0.5000
Se  0.0000  0.0000  0.5000
Se  0.3333  0.6667  0.2628
Se  0.3333  0.6667  0.7372
Se  0.6667  0.3333  0.2628
Se  0.6667  0.3333  0.7372


Starting from the PBE geometry in OQMD, the XRD peak list of K2CoSe3 was computed for a wavelength of 1.5418 Å.
Lines closer than 0.1° are merged.

Largest 12 diffraction maxima, by angle, 10 to 90 degrees two-theta:
13.7 deg, I = 45; 16.1 deg, I = 55; 26.9 deg, I = 52; 27.5 deg, I = 95; 28.2 deg, I = 100; 28.9 deg, I = 34; 33.3 deg, I = 41; 34.6 deg, I = 29; 35.3 deg, I = 24; 37.2 deg, I = 23; 40.0 deg, I = 29; 45.6 deg, I = 30

Atomic structure:
abc: 6.6676 7.1433 8.8070
angles: 72.24 70.01 67.68
Fractional coordinates of all 12 atoms:
K  0.1056  0.1964  0.1194
K  0.3546  0.5376  0.3126
K  0.6454  0.4624  0.6874
K  0.8944  0.8036  0.8806
Co  0.3719  0.0544  0.6697
Co  0.6281  0.9456  0.3303
Se  0.1673  0.3746  0.7140
Se  0.2683  0.9652  0.4859
Se  0.3721  0.8212  0.9083
Se  0.6279  0.1788  0.0917
Se  0.7317  0.0348  0.5141
Se  0.8327  0.6254  0.2860


Starting from the PBE geometry in OQMD, the XRD peak list of K6CoSe4 was computed for a wavelength of 1.5418 Å.
Lines closer than 0.1° are merged.

Largest 12 diffraction maxima, by angle, 10 to 90 degrees two-theta:
10.0 deg, I = 58; 15.0 deg, I = 42; 20.1 deg, I = 23; 23.0 deg, I = 25; 29.0 deg, I = 58; 30.3 deg, I = 81; 32.4 deg, I = 49; 35.1 deg, I = 100; 35.5 deg, I = 30; 39.7 deg, I = 25; 53.8 deg, I = 22; 57.3 deg, I = 27

Atomic structure:
abc: 10.2107 10.2107 7.9256
angles: 90.00 90.00 120.00
Fractional coordinates of all 22 atoms:
K  0.0542  0.5271  0.0000
K  0.1468  0.2936  0.6814
K  0.1468  0.8532  0.6814
K  0.2936  0.1468  0.1814
K  0.4729  0.5271  0.0000
K  0.4729  0.9458  0.0000
K  0.5271  0.0542  0.5000
K  0.5271  0.4729  0.5000
K  0.7064  0.8532  0.6814
K  0.8532  0.1468  0.1814
K  0.8532  0.7064  0.1814
K  0.9458  0.4729  0.5000
Co  0.3333  0.6667  0.3851
Co  0.6667  0.3333  0.8851
Se  0.1989  0.3979  0.2868
Se  0.1989  0.8011  0.2868
Se  0.3333  0.6667  0.6991
Se  0.3979  0.1989  0.7868
Se  0.6021  0.8011  0.2868
Se  0.6667  0.3333  0.1991
Se  0.8011  0.1989  0.7868
Se  0.8011  0.6021  0.7868


Starting from the PBE geometry in OQMD, the XRD peak list of K4CoSiSe6 was computed for a wavelength of 1.5418 Å.
Lines closer than 0.1° are merged.

Largest 12 diffraction maxima, by angle, 10 to 90 degrees two-theta:
13.5 deg, I = 31; 16.1 deg, I = 26; 21.6 deg, I = 24; 26.7 deg, I = 49; 27.2 deg, I = 100; 27.8 deg, I = 99; 28.4 deg, I = 37; 32.7 deg, I = 50; 36.8 deg, I = 19; 39.9 deg, I = 35; 45.0 deg, I = 27; 54.9 deg, I = 24

Atomic structure:
abc: 6.7075 7.2909 8.9052
angles: 72.37 70.98 66.52
Fractional coordinates of all 12 atoms:
K  0.0000  0.0000  0.0000
K  0.2118  0.3891  0.2394
K  0.4559  0.7247  0.4392
K  0.7605  0.6580  0.7999
Co  0.4747  0.2472  0.7997
Si  0.7446  0.1316  0.4326
Se  0.2802  0.5663  0.8434
Se  0.3858  0.1562  0.6014
Se  0.4772  0.0153  0.0324
Se  0.7348  0.3761  0.2063
Se  0.8363  0.2156  0.6318
Se  0.9418  0.8082  0.3992


Starting from the PBE geometry in OQMD, the XRD peak list of K2Co5Sn3 was computed for a wavelength of 1.5418 Å.
Lines closer than 0.1° are merged.

Largest 12 diffraction maxima, by angle, 10 to 90 degrees two-theta:
23.9 deg, I = 40; 28.8 deg, I = 31; 29.3 deg, I = 75; 38.6 deg, I = 76; 41.1 deg, I = 100; 42.0 deg, I = 28; 45.0 deg, I = 97; 51.3 deg, I = 32; 52.3 deg, I = 25; 59.6 deg, I = 32; 73.3 deg, I = 21; 77.7 deg, I = 39

Atomic structure:
abc: 11.0279 11.0279 11.0279
angles: 157.04 157.04 32.70
Fractional coordinates of all 10 atoms:
K  0.1944  0.1944  0.0000
K  0.8056  0.8056  0.0000
Co  0.0620  0.5620  0.5000
Co  0.4380  0.9380  0.5000
Co  0.5000  0.5000  0.0000
Co  0.5620  0.0620  0.5000
Co  0.9380  0.4380  0.5000
Sn  0.0000  0.0000  0.0000
Sn  0.3717  0.3717  0.0000
Sn  0.6283  0.6283  0.0000


Starting from the PBE geometry in OQMD, the XRD peak list of KYCo was computed for a wavelength of 1.5418 Å.
Lines closer than 0.1° are merged.

Largest 12 diffraction maxima, by angle, 10 to 90 degrees two-theta:
22.2 deg, I = 42; 25.7 deg, I = 17; 36.7 deg, I = 100; 43.4 deg, I = 21; 52.9 deg, I = 16; 58.1 deg, I = 9; 59.8 deg, I = 6; 66.1 deg, I = 32; 70.7 deg, I = 6; 78.1 deg, I = 10; 82.5 deg, I = 6; 89.6 deg, I = 14

Atomic structure:
abc: 4.8935 4.8935 4.8935
angles: 60.00 60.00 60.00
Fractional coordinates of all 3 atoms:
K  0.0000  0.0000  0.0000
Y  0.5000  0.5000  0.5000
Co  0.2500  0.2500  0.2500


Starting from the PBE geometry in OQMD, the XRD peak list of La2Mg4CoPd was computed for a wavelength of 1.5418 Å.
Lines closer than 0.1° are merged.

Largest 12 diffraction maxima, by angle, 10 to 90 degrees two-theta:
21.1 deg, I = 72; 22.7 deg, I = 47; 31.2 deg, I = 89; 35.2 deg, I = 100; 36.3 deg, I = 44; 42.7 deg, I = 26; 43.0 deg, I = 18; 46.9 deg, I = 38; 49.2 deg, I = 17; 57.3 deg, I = 23; 65.6 deg, I = 17; 71.1 deg, I = 16

Atomic structure:
abc: 8.4061 5.6005 5.6005
angles: 44.40 90.00 90.00
Fractional coordinates of all 8 atoms:
La  0.0000  0.0000  0.0000
La  0.5000  0.1223  0.1223
Mg  0.2018  0.7156  0.7156
Mg  0.3111  0.4066  0.4066
Mg  0.6889  0.4066  0.4066
Mg  0.7982  0.7156  0.7156
Co  0.5000  0.8360  0.8360
Pd  0.0000  0.2856  0.2856


Starting from the PBE geometry in OQMD, the XRD peak list of LaNd2Co2N6 was computed for a wavelength of 1.5418 Å.
Lines closer than 0.1° are merged.

Largest 12 diffraction maxima, by angle, 10 to 90 degrees two-theta:
24.1 deg, I = 22; 26.9 deg, I = 12; 32.8 deg, I = 100; 33.7 deg, I = 57; 43.6 deg, I = 26; 48.4 deg, I = 29; 56.5 deg, I = 13; 57.9 deg, I = 11; 59.7 deg, I = 36; 70.9 deg, I = 9; 77.5 deg, I = 10; 80.8 deg, I = 9

Atomic structure:
abc: 10.2969 10.2969 10.2969
angles: 158.96 158.96 29.92
Fractional coordinates of all 11 atoms:
La  0.0000  0.0000  0.0000
Nd  0.1811  0.1811  0.0000
Nd  0.8189  0.8189  0.0000
Co  0.3951  0.3951  0.0000
Co  0.6049  0.6049  0.0000
N  0.0872  0.5872  0.5000
N  0.3022  0.3022  0.0000
N  0.4128  0.9128  0.5000
N  0.5872  0.0872  0.5000
N  0.6978  0.6978  0.0000
N  0.9128  0.4128  0.5000


Starting from the PBE geometry in OQMD, the XRD peak list of La2NdCo2N6 was computed for a wavelength of 1.5418 Å.
Lines closer than 0.1° are merged.

Largest 12 diffraction maxima, by angle, 10 to 90 degrees two-theta:
24.0 deg, I = 22; 26.9 deg, I = 11; 32.7 deg, I = 100; 33.5 deg, I = 57; 43.5 deg, I = 25; 48.2 deg, I = 29; 56.5 deg, I = 10; 57.8 deg, I = 11; 59.4 deg, I = 36; 68.5 deg, I = 8; 70.5 deg, I = 9; 80.4 deg, I = 9

Atomic structure:
abc: 10.2869 10.2869 10.2869
angles: 158.84 158.84 30.10
Fractional coordinates of all 11 atoms:
La  0.1806  0.1806  0.0000
La  0.8194  0.8194  0.0000
Nd  0.0000  0.0000  0.0000
Co  0.3988  0.3988  0.0000
Co  0.6012  0.6012  0.0000
N  0.0847  0.5847  0.5000
N  0.3045  0.3045  0.0000
N  0.4153  0.9153  0.5000
N  0.5847  0.0847  0.5000
N  0.6955  0.6955  0.0000
N  0.9153  0.4153  0.5000


Repeat the eighth record exactly.
Starting from the PBE geometry in OQMD, the XRD peak list of LaNd2Co2N6 was computed for a wavelength of 1.5418 Å.
Lines closer than 0.1° are merged.

Largest 12 diffraction maxima, by angle, 10 to 90 degrees two-theta:
24.1 deg, I = 22; 26.9 deg, I = 12; 32.8 deg, I = 100; 33.7 deg, I = 57; 43.6 deg, I = 26; 48.4 deg, I = 29; 56.5 deg, I = 13; 57.9 deg, I = 11; 59.7 deg, I = 36; 70.9 deg, I = 9; 77.5 deg, I = 10; 80.8 deg, I = 9

Atomic structure:
abc: 10.2969 10.2969 10.2969
angles: 158.96 158.96 29.92
Fractional coordinates of all 11 atoms:
La  0.0000  0.0000  0.0000
Nd  0.1811  0.1811  0.0000
Nd  0.8189  0.8189  0.0000
Co  0.3951  0.3951  0.0000
Co  0.6049  0.6049  0.0000
N  0.0872  0.5872  0.5000
N  0.3022  0.3022  0.0000
N  0.4128  0.9128  0.5000
N  0.5872  0.0872  0.5000
N  0.6978  0.6978  0.0000
N  0.9128  0.4128  0.5000